[1]
Starting from a crystal structure in Alexandria, relaxed with GGA-PBE, the X-ray powder pattern of AcMnNi2H8 was computed for a wavelength of 1.5418 Å.
Neutral-atom scattering factors, no anomalous dispersion.

Top 8 peaks for 10 to 90 degrees two-theta, low angle first:
Position (°2θ), d/Å, I (rel.)
23.17, 3.839, 71
24.88, 3.579, 41
30.83, 2.900, 100
31.30, 2.858, 24
34.68, 2.586, 55
39.63, 2.274, 75
51.03, 1.790, 24
51.34, 1.780, 37

Atomic structure:
Unit cell a=4.5484 b=4.5484 c=17.1468 alpha=90.00 beta=90.00 gamma=120.00
Space group R-3 (No. 148, hexagonal axes)
Symmetry-distinct sites (fractional):
1 Ac 0.0000 0.0000 0.0000 x3
2 Mn 0.0000 0.0000 0.5000 x3
3 Ni 0.0000 0.0000 0.2053 x6
4 H 0.0000 0.0000 0.3005 x6
5 H 0.0069 0.3662 0.7855 x18

---

[2]
Starting from a crystal structure in Alexandria, relaxed with GGA-PBE, the X-ray powder pattern of Ti5Be was computed for a wavelength of 1.5418 Å.
Neutral-atom scattering factors, no anomalous dispersion.

Top 8 peaks for 10 to 90 degrees two-theta, low angle first:
Position (°2θ), d/Å, I (rel.)
39.19, 2.299, 100
45.54, 1.992, 31
45.62, 1.989, 16
66.38, 1.408, 18
66.47, 1.407, 9
79.80, 1.202, 10
79.96, 1.200, 20
84.25, 1.149, 9

Atomic structure:
Unit cell a=3.9797 b=11.9632 c=3.9771 alpha=90.00 beta=90.00 gamma=90.00
Space group Cmmm (No. 65)
Symmetry-distinct sites (fractional):
1 Ti 0.0000 0.0000 0.0000 x2
2 Ti 0.0000 0.1613 0.5000 x4
3 Ti 0.0000 0.3370 0.0000 x4
4 Be 0.0000 0.5000 0.5000 x2

---

[3]
Starting from a crystal structure in Alexandria, relaxed with GGA-PBE, the X-ray powder pattern of Pa2Ag2Te7 was computed for a wavelength of 1.5418 Å.
Neutral-atom scattering factors, no anomalous dispersion.

Top 8 peaks for 10 to 90 degrees two-theta, low angle first:
Position (°2θ), d/Å, I (rel.)
10.54, 8.393, 69
28.58, 3.123, 65
31.29, 2.858, 78
31.99, 2.798, 32
32.40, 2.764, 100
36.93, 2.434, 38
39.63, 2.274, 53
42.18, 2.142, 43

Atomic structure:
Unit cell a=4.2846 b=16.7854 c=9.4792 alpha=90.00 beta=90.00 gamma=90.00
Space group Imm2 (No. 44)
Symmetry-distinct sites (fractional):
1 Pa 0.0000 0.0000 0.0000 x2
2 Pa 0.0000 0.5000 0.0792 x2
3 Ag 0.0000 0.3340 0.8270 x4
4 Te 0.0000 0.1262 0.5321 x4
5 Te 0.0000 0.1729 0.1310 x4
6 Te 0.0000 0.3926 0.3535 x4
7 Te 0.0000 0.5000 0.7399 x2